Record 1
Simulated powder diffractogram of Sm12Ho5Er for Cu Kα (λ = 1.5418 Å), from DFT lattice parameters and positions (PBE).
Lines closer than 0.1° are merged.

Main lines, in order of rising 2θ (2θ = 10–90°):
h k l, d (Å), 2theta, I_rel
3 3 1, 2.933, 30.48, 100
6 0 0, 2.540, 35.34, 51
6 6 0, 1.796, 50.84, 36
3 9 1, 1.532, 60.41, 29
9 3 1, 1.530, 60.52, 14
6 6 2, 1.466, 63.43, 12
3 9 3, 1.166, 82.81, 12
6 12 0, 1.136, 85.43, 11

Lattice parameters (Å, degrees): 15.2151 15.2485 5.0846 90.00 90.00 90.00
Space group Cmmm (No. 65)
One atom of each set of equivalent atoms:
Sm 0.1653 0.0000 0.0000 [4 per cell]
Sm 0.1654 0.1667 0.5000 [8 per cell]
Sm 0.1656 0.3334 0.0000 [8 per cell]
Sm 0.1657 0.5000 0.5000 [4 per cell]
Ho 0.0000 0.1667 0.0000 [4 per cell]
Ho 0.0000 0.3335 0.5000 [4 per cell]
Ho 0.0000 0.5000 0.0000 [2 per cell]
Er 0.0000 0.0000 0.5000 [2 per cell]

=====

Record 2
Simulated powder diffractogram of Sm8HoEr2 for Cu Kα (λ = 1.5418 Å), from DFT lattice parameters and positions (PBE).
Lines closer than 0.1° are merged.

Main lines, in order of rising 2θ (2θ = 10–90°):
h k l, d (Å), 2theta, I_rel
1 0 -3, 2.939, 30.42, 33
1 1 2, 2.934, 30.47, 100
2 1 -1, 2.542, 35.31, 68
3 0 2, 1.797, 50.81, 40
2 0 5, 1.534, 60.36, 34
3 2 1, 1.532, 60.42, 24
4 1 4, 1.166, 82.79, 16
3 4 0, 1.137, 85.41, 13

Lattice parameters (Å, degrees): 6.2237 6.2242 9.5211 90.09 96.32 99.59
Space group P-1 (No. 2)
One atom of each set of equivalent atoms:
Sm 0.0466 0.0916 0.1816 [2 per cell]
Sm 0.1359 0.2734 0.5453 [2 per cell]
Sm 0.2282 0.4551 0.9094 [2 per cell]
Sm 0.4101 0.8190 0.6365 [2 per cell]
Ho 0.5000 0.0000 0.0000 [1 per cell]
Er 0.3179 0.6368 0.2715 [2 per cell]

=====

Record 3
Simulated powder diffractogram of Sm3Ho8Er for Cu Kα (λ = 1.5418 Å), from DFT lattice parameters and positions (PBE).
Lines closer than 0.1° are merged.

Main lines, in order of rising 2θ (2θ = 10–90°):
h k l, d (Å), 2theta, I_rel
2 2 1, 2.895, 30.89, 100
0 4 0, 2.509, 35.79, 34
0 0 3, 2.503, 35.88, 17
4 0 2, 1.773, 51.55, 36
6 2 0, 1.513, 61.28, 29
2 2 4, 1.510, 61.40, 14
4 4 2, 1.447, 64.36, 12
8 0 1, 1.122, 86.82, 11

Lattice parameters (Å, degrees): 10.0387 10.0345 7.9186 90.00 108.52 90.00
Space group Cm (No. 8)
One atom of each set of equivalent atoms:
Sm 0.0000 0.0000 0.0000 [2 per cell]
Sm 0.4165 0.2498 0.6660 [4 per cell]
Ho 0.0829 0.2507 0.3315 [4 per cell]
Ho 0.1658 0.5000 0.6654 [2 per cell]
Ho 0.1671 0.0000 0.6658 [2 per cell]
Ho 0.2503 0.2499 0.0011 [4 per cell]
Ho 0.3326 0.5000 0.3324 [2 per cell]
Ho 0.3338 0.0000 0.3325 [2 per cell]
Er 0.0002 0.5000 0.0003 [2 per cell]

=====

What did the second record say?
Simulated powder diffractogram of Sm8HoEr2 for Cu Kα (λ = 1.5418 Å), from DFT lattice parameters and positions (PBE).
Lines closer than 0.1° are merged.

Main lines, in order of rising 2θ (2θ = 10–90°):
h k l, d (Å), 2theta, I_rel
1 0 -3, 2.939, 30.42, 33
1 1 2, 2.934, 30.47, 100
2 1 -1, 2.542, 35.31, 68
3 0 2, 1.797, 50.81, 40
2 0 5, 1.534, 60.36, 34
3 2 1, 1.532, 60.42, 24
4 1 4, 1.166, 82.79, 16
3 4 0, 1.137, 85.41, 13

Lattice parameters (Å, degrees): 6.2237 6.2242 9.5211 90.09 96.32 99.59
Space group P-1 (No. 2)
One atom of each set of equivalent atoms:
Sm 0.0466 0.0916 0.1816 [2 per cell]
Sm 0.1359 0.2734 0.5453 [2 per cell]
Sm 0.2282 0.4551 0.9094 [2 per cell]
Sm 0.4101 0.8190 0.6365 [2 per cell]
Ho 0.5000 0.0000 0.0000 [1 per cell]
Er 0.3179 0.6368 0.2715 [2 per cell]